For Tl3TeO6, a structure optimized by DFT (PBE) gives the theoretical powder X-ray diffraction pattern in this record (a wavelength of 1.5418 Å).
Kinematic intensities with the Lorentz-polarization factor, no thermal factor.

Cell and atoms:
abc: 10.6161 6.2170 6.0079
angles: 90.00 123.49 90.00
Space group C2/m (No. 12)
Symmetry-distinct sites (fractional):
Tl  0.0000  0.0000  0.0000 x2
Tl  0.2413  0.5000  0.1921 x4
Te  0.0000  0.5000  0.5000 x2
O  0.0981  0.2803  0.7860 x8
O  0.1861  0.5000  0.4994 x4

Main lines, in order of rising 2θ (2θ = 10–80°):
2theta  d [Å]  I (rel.)  (hkl)
28.7  3.110  100  1 1 1
29.1  3.073  65  3 1 -1
29.7  3.004  21  2 0 -2
40.8  2.213  12  4 0 0
41.8  2.160  23  2 2 -2
50.6  1.803  17  4 2 0
50.9  1.795  20  1 3 1
51.1  1.788  12  3 3 -1
52.6  1.740  10  5 1 -3
59.4  1.555  12  0 4 0

---

For UTl2TeO6, a structure optimized by DFT (PBE) gives the theoretical powder X-ray diffraction pattern in this record (a wavelength of 1.5418 Å).
Kinematic intensities with the Lorentz-polarization factor, no thermal factor.

Cell and atoms:
abc: 4.3230 4.3230 8.6182
angles: 90.00 90.00 90.00
Space group P4/mmm (No. 123)
Symmetry-distinct sites (fractional):
U  0.0000  0.0000  0.0000 x1
Tl  0.5000  0.5000  0.2717 x2
Te  0.0000  0.0000  0.5000 x1
O  0.0000  0.0000  0.2358 x2
O  0.0000  0.5000  0.0000 x2
O  0.0000  0.5000  0.5000 x2

Main lines, in order of rising 2θ (2θ = 10–80°):
2theta  d [Å]  I (rel.)  (hkl)
23.0  3.864  6  1 0 1
29.2  3.054  100  1 1 0
41.8  2.162  18  2 0 0
41.9  2.155  8  0 0 4
51.9  1.763  40  2 1 2
60.6  1.528  6  2 2 0
60.7  1.526  10  2 0 4
68.7  1.367  13  3 1 0
68.9  1.363  4  1 0 6
76.4  1.247  5  2 2 4